[1]
Diffraction record for SrLiTa2O6F. The X-ray powder pattern is simulated, not measured: it uses a DFT-relaxed cell (GGA-PBE, Alexandria) and Cu Kα.
Kinematic intensities with the Lorentz-polarization factor, no thermal factor.

Largest 10 diffraction maxima, in order of rising 2θ, 10° ≤ 2θ ≤ 80°:
Position (°2θ), I (rel.)
14.5, 858
14.6, 264
28.1, 646
29.2, 1000
29.5, 933
33.9, 419
34.0, 212
48.8, 586
57.7, 286
58.1, 441

Structural model:
```
22
Lattice="-3.710 3.763 5.267 3.710 -3.763 5.267 3.710 3.763 -5.267" Properties=species:S:1:pos:R:3 pbc="T T T"
Sr 0.000 0.000 0.000
Sr 0.000 3.763 0.000
Li -1.855 1.881 2.633
Li 1.855 1.881 2.633
Ta 1.855 1.881 -2.633
Ta 1.855 -1.881 2.633
Ta 3.710 0.000 0.000
Ta 0.000 0.000 5.267
O 2.272 -0.458 1.310
O 5.148 -0.458 1.310
O 3.710 -1.881 3.382
O 3.710 1.881 0.646
O 2.272 3.305 -1.310
O 1.438 -0.458 3.957
O 2.272 4.220 1.310
O 1.438 0.458 6.577
O 0.000 1.881 4.621
O 0.000 5.644 1.884
O -1.438 4.220 3.957
O 1.438 4.220 3.957
F 0.000 1.881 1.573
F 3.710 1.881 3.694
```


[2]
Diffraction record for LiHgRu2. The X-ray powder pattern is simulated, not measured: it uses a DFT-relaxed cell (GGA-PBE, Alexandria) and Cu Kα.
Kinematic intensities with the Lorentz-polarization factor, no thermal factor.

Largest 10 diffraction maxima, in order of rising 2θ, 10° ≤ 2θ ≤ 80°:
Position (°2θ), I (rel.)
12.3, 276
24.8, 256
30.8, 242
33.3, 287
39.9, 1000
44.1, 405
51.2, 148
60.7, 133
69.6, 157
78.2, 280

Structural model:
```
4
Lattice="2.906 0.000 0.000 0.000 2.906 0.000 0.000 0.000 7.170" Properties=species:S:1:pos:R:3 pbc="T T T"
Li 0.000 0.000 0.000
Hg 1.453 1.453 5.396
Ru 0.000 0.000 3.237
Ru 1.453 1.453 1.693
```


[3]
Diffraction record for PmDy5Y12. The X-ray powder pattern is simulated, not measured: it uses a DFT-relaxed cell (GGA-PBE, Alexandria) and Cu Kα.
Kinematic intensities with the Lorentz-polarization factor, no thermal factor.

Largest 10 diffraction maxima, in order of rising 2θ, 10° ≤ 2θ ≤ 80°:
Position (°2θ), I (rel.)
11.7, 88
25.7, 58
30.7, 1000
35.6, 502
37.6, 24
39.0, 23
51.2, 351
60.9, 414
63.9, 119
75.4, 36

Structural model:
```
18
Lattice="7.562 -7.575 0.000 7.562 7.575 0.000 0.000 0.000 5.043" Properties=species:S:1:pos:R:3 pbc="T T T"
Pm 0.000 0.000 0.000
Dy 7.562 5.037 2.521
Dy 7.562 2.523 0.000
Dy 7.562 0.000 2.521
Dy 7.562 -2.523 0.000
Dy 7.562 -5.037 2.521
Y 5.047 5.042 0.000
Y 2.520 0.000 2.521
Y 5.058 2.521 2.521
Y 10.077 5.042 0.000
Y 5.057 0.000 0.000
Y 10.067 2.521 2.521
Y 5.058 -2.521 2.521
Y 10.067 0.000 0.000
Y 5.047 -5.042 0.000
Y 10.067 -2.521 2.521
Y 12.605 0.000 2.521
Y 10.077 -5.042 0.000
```


[4]
Diffraction record for TaIr2S. The X-ray powder pattern is simulated, not measured: it uses a DFT-relaxed cell (GGA-PBE, Alexandria) and Cu Kα.
Kinematic intensities with the Lorentz-polarization factor, no thermal factor.

Largest 10 diffraction maxima, in order of rising 2θ, 10° ≤ 2θ ≤ 80°:
Position (°2θ), I (rel.)
28.1, 1000
29.0, 121
37.8, 171
46.5, 456
47.1, 198
54.6, 160
55.8, 261
66.8, 110
75.0, 101
75.9, 85

Structural model:
```
8
Lattice="-2.726 2.726 5.601 2.726 -2.726 5.601 2.726 2.726 -5.601" Properties=species:S:1:pos:R:3 pbc="T T T"
Ta 0.000 0.000 0.000
Ta 0.000 2.726 2.801
Ir 1.363 -1.129 4.201
Ir 1.597 1.363 1.400
Ir 1.363 3.855 -1.400
Ir 1.129 1.363 7.002
S 2.726 0.000 2.801
S 0.000 0.000 5.601
```